For DyBeAlCu6, a structure optimized by DFT (PBE) gives the computed PXRD pattern in this record (λ = 1.5418 Å (Cu Kα)).
No peak broadening, texture or thermal motion is included.

Largest 12 diffraction maxima, low angle first, 5° ≤ 2θ ≤ 70°:
d/Å	2θ (°)	I/Imax	h k l
3.863	23.02	23	0 1 3
3.374	26.42	25	1 0 3
3.333	26.74	32	0 2 2
3.001	29.77	25	1 2 1
2.535	35.41	58	1 2 3
2.526	35.55	53	0 2 4
2.402	37.44	26	2 0 2
2.234	40.37	20	0 0 6
2.138	42.27	100	2 2 0
2.041	44.39	36	2 0 4
2.022	44.83	32	1 2 5
1.921	47.31	38	0 4 0

Structure:
```
data_DyBeAlCu6
_chemical_formula_sum 'Dy4 Be4 Al4 Cu24'
_space_group_name_H-M_alt 'I m m a'
_space_group_IT_number 74
_space_group_name_Hall '-I 2b 2'
_cell_length_a 5.145
_cell_length_b 7.685
_cell_length_c 13.405
_cell_angle_alpha 90.00
_cell_angle_beta 90.00
_cell_angle_gamma 90.00
loop_
_atom_site_label
_atom_site_fract_x
_atom_site_fract_y
_atom_site_fract_z
Dy1 0.000 0.250 0.002
Be1 0.250 0.250 0.250
Al1 0.000 0.000 0.500
Cu1 0.000 0.250 0.387
Cu2 0.000 0.250 0.752
Cu3 0.241 0.011 0.842
```